No. 1
This entry pairs a crystal structure of LiNiPt3 with its theoretical powder diffraction line list. Radiation: copper Kα. Structure: DFT lattice parameters and positions (PBE).
No peak broadening, texture or thermal motion is included.

Main lines, in order of rising 2θ (2θ from 10° to 90°):
- 2θ 12.58, 7.035 Å, I = 100
- 2θ 23.48, 3.789 Å, I = 8
- 2θ 25.32, 3.518 Å, I = 20
- 2θ 26.72, 3.336 Å, I = 12
- 2θ 38.39, 2.345 Å, I = 7
- 2θ 41.27, 2.188 Å, I = 17
- 2θ 43.31, 2.089 Å, I = 29
- 2θ 49.04, 1.858 Å, I = 20
- 2θ 57.62, 1.600 Å, I = 12
- 2θ 68.45, 1.371 Å, I = 7

Lattice parameters (Å, degrees): 7.5780 7.5780 7.0354 90.00 90.00 120.00
Fractional coordinates of all 10 atoms:
Li (0.0000, 0.0000, 0.1921)
Li (0.0000, 0.0000, 0.8079)
Ni (0.3333, 0.6667, 0.0000)
Ni (0.6667, 0.3333, 0.0000)
Pt (0.0000, 0.3311, 0.9964)
Pt (0.0000, 0.6689, 0.0036)
Pt (0.3311, 0.0000, 0.9964)
Pt (0.3311, 0.3311, 0.0036)
Pt (0.6689, 0.0000, 0.0036)
Pt (0.6689, 0.6689, 0.9964)

No. 2
This entry pairs a crystal structure of Y5AlTe4 with its theoretical powder diffraction line list. Radiation: copper Kα. Structure: DFT lattice parameters and positions (PBE).
No peak broadening, texture or thermal motion is included.

Main lines, in order of rising 2θ (2θ from 10° to 90°):
- 2θ 28.92, 3.087 Å, I = 100
- 2θ 29.07, 3.071 Å, I = 50
- 2θ 41.36, 2.183 Å, I = 35
- 2θ 41.47, 2.177 Å, I = 74
- 2θ 51.35, 1.779 Å, I = 37
- 2θ 59.93, 1.544 Å, I = 11
- 2θ 67.93, 1.380 Å, I = 29
- 2θ 68.20, 1.375 Å, I = 16
- 2θ 75.50, 1.259 Å, I = 21
- 2θ 75.73, 1.256 Å, I = 12

Lattice parameters (Å, degrees): 7.5554 7.5554 7.5554 99.51 99.51 132.03
Fractional coordinates of all 10 atoms:
Y (0.0000, 0.0000, 0.0000)
Y (0.2175, 0.4038, 0.6213)
Y (0.4038, 0.7825, 0.1862)
Y (0.5962, 0.2175, 0.8138)
Y (0.7825, 0.5962, 0.3787)
Al (0.5000, 0.5000, 0.0000)
Te (0.0938, 0.6959, 0.7898)
Te (0.3041, 0.0938, 0.3979)
Te (0.6959, 0.9062, 0.6021)
Te (0.9062, 0.3041, 0.2102)

No. 3
This entry pairs a crystal structure of KTl2Zn with its theoretical powder diffraction line list. Radiation: copper Kα. Structure: DFT lattice parameters and positions (PBE).
No peak broadening, texture or thermal motion is included.

Main lines, in order of rising 2θ (2θ from 10° to 90°):
- 2θ 12.70, 6.972 Å, I = 43
- 2θ 22.04, 4.034 Å, I = 12
- 2θ 31.41, 2.848 Å, I = 100
- 2θ 31.50, 2.840 Å, I = 14
- 2θ 36.35, 2.471 Å, I = 23
- 2θ 43.00, 2.103 Å, I = 9
- 2θ 48.80, 1.866 Å, I = 16
- 2θ 55.91, 1.645 Å, I = 10
- 2θ 62.31, 1.490 Å, I = 12
- 2θ 65.56, 1.424 Å, I = 9

Lattice parameters (Å, degrees): 3.5963 4.9452 7.1948 90.00 104.30 90.00
Fractional coordinates of all 4 atoms:
K (0.0000, 0.0000, 0.0000)
Tl (0.2604, 0.0000, 0.5305)
Tl (0.6542, 0.5000, 0.3100)
Zn (0.3728, 0.5000, 0.7369)